Simulated powder X-ray diffraction pattern of Li2Ni2SbO6 for a wavelength of 1.5418 Å, from a crystal structure in Alexandria, relaxed with GGA+U.
Lines closer than 0.1° are merged.

Structure:
```
data_Li2Ni2SbO6
_cell_length_a 5.2776
_cell_length_b 8.9037
_cell_length_c 10.0977
_cell_angle_alpha 90.00
_cell_angle_beta 90.10
_cell_angle_gamma 90.00
_symmetry_space_group_name_H-M 'C 1 2 1'
_symmetry_Int_Tables_number 5
loop_
_symmetry_equiv_pos_as_xyz
'x,y,z'
'-x,y,-z'
'x+1/2,y+1/2,z'
'-x+1/2,y+1/2,-z'
loop_
_atom_site_label
_atom_site_fract_x
_atom_site_fract_y
_atom_site_fract_z
_atom_site_occupancy
Li1 0.1136 0.0000 0.2500 1
Li2 0.1148 0.5026 0.2501 1
Ni1 0.0000 0.0754 0.5000 1
Ni2 0.0000 0.4052 0.5000 1
Ni3 0.0000 0.5974 0.0000 1
Ni4 0.0000 0.9273 0.0000 1
Sb1 0.0000 0.2651 0.0000 1
Sb2 0.0000 0.7375 0.5000 1
O1 0.1412 0.0864 0.8937 1
O2 0.1413 0.9162 0.6062 1
O3 0.1492 0.4272 0.8862 1
O4 0.1493 0.5754 0.6138 1
O5 0.1680 0.7723 0.9014 1
O6 0.1693 0.2303 0.5987 1
```

Largest 10 diffraction maxima, low angle first, 5 to 70 degrees two-theta:
hkl	d [Å]	intensity
0 0 2	5.049	100
1 1 1	4.141	11
2 0 0	2.639	13
0 0 4	2.524	7
1 3 -1	2.506	38
2 0 2	2.339	22
1 3 3	2.051	36
2 0 4	1.824	14
1 3 -5	1.592	18
3 3 -1	1.497	16